Record 1
Theoretical powder diffractogram of Tb7Tm4Pu for Cu Kα (weighted mean of Kα1 and Kα2), from the GGA-PBE geometry in Alexandria.

The 12 most intense peaks (10° ≤ 2θ ≤ 90°), low angle first:
2theta	I (rel.)
25.92	10
31.96	100
32.08	66
32.19	89
41.71	11
45.95	30
53.31	11
57.15	27
57.27	28
57.41	15
63.57	25
63.74	12

Crystal structure
```
12
Lattice="5.5783 0.0000 0.0000 2.7859 5.9232 0.0000 2.7876 2.0935 11.1697" Properties=species:S:1:pos:R:3 pbc="T T T"
Tb 0.0000 0.0000 0.0000
Tb 2.7811 4.1627 3.3566
Tb 5.5630 5.7203 8.5578
Tb 5.5640 6.5173 3.7869
Tb 5.5722 2.2434 8.9122
Tb 5.5754 4.3878 0.9683
Tb 8.3580 6.1681 6.1384
Tm 2.7854 2.5197 6.7094
Tm 2.7842 2.1461 0.5686
Tm 5.5743 3.8875 5.6384
Tm 5.5669 1.8295 2.9184
Pu 8.3523 4.6075 9.3593
```


Record 2
Theoretical powder diffractogram of Er3PdPt2 for Cu Kα (weighted mean of Kα1 and Kα2), from the GGA-PBE geometry in Alexandria.

The 12 most intense peaks (10° ≤ 2θ ≤ 90°), low angle first:
2theta	I (rel.)
12.03	1
19.05	1
36.65	100
52.75	12
52.90	6
65.95	24
66.05	12
77.76	2
77.95	9
89.24	8
89.30	3
89.51	6

Crystal structure
```
6
Lattice="2.4564 -7.3564 0.0000 2.4564 7.3564 0.0000 0.0000 0.0000 3.4616" Properties=species:S:1:pos:R:3 pbc="T T T"
Er 0.0000 0.0000 0.0000
Er 2.4564 2.4833 0.0000
Er 2.4564 -2.4833 0.0000
Pd 2.4564 0.0000 1.7308
Pt 2.4564 4.9450 1.7308
Pt 2.4564 -4.9450 1.7308
```